# CeSb
Simulated powder XRD pattern, λ = 1.5418 Å (Cu Kα). Input: DFT lattice parameters and positions (PBE).
Intensities are scaled so that the largest is 100.

Largest 10 diffraction maxima, sorted by position, 15° ≤ 2θ ≤ 90°:
| 2theta | d_spacing | intensity |
| --- | --- | --- |
| 31.1 | 2.879 | 66.2 |
| 34.5 | 2.600 | 100.0 |
| 44.5 | 2.036 | 24.4 |
| 57.5 | 1.603 | 45.4 |
| 63.9 | 1.457 | 16.4 |
| 64.8 | 1.440 | 7.9 |
| 72.7 | 1.300 | 11.2 |
| 73.6 | 1.288 | 10.8 |
| 75.5 | 1.259 | 10.1 |
| 89.4 | 1.096 | 6.8 |

Atomic structure:
```
CeSb
1.0
4.0719 0.0000 0.0000
0.0000 4.0719 0.0000
0.0000 0.0000 3.3793
Ce Sb
1 1
Cartesian
0.0000 0.0000 0.0000
2.0359 2.0359 1.6896
```

# CeSb
Simulated powder XRD pattern, λ = 1.5418 Å (Cu Kα). Input: DFT lattice parameters and positions (PBE).
Intensities are scaled so that the largest is 100.

Largest 9 diffraction maxima, sorted by position, 15° ≤ 2θ ≤ 90°:
| 2theta | d_spacing | intensity |
| --- | --- | --- |
| 24.2 | 3.678 | 0.9 |
| 28.0 | 3.185 | 100.0 |
| 40.0 | 2.252 | 76.4 |
| 47.3 | 1.921 | 0.5 |
| 49.6 | 1.839 | 27.4 |
| 57.9 | 1.593 | 12.8 |
| 65.5 | 1.424 | 35.1 |
| 72.7 | 1.300 | 25.9 |
| 86.4 | 1.126 | 8.4 |

Atomic structure:
```
CeSb
1.0
6.3703 0.0000 0.0000
0.0000 6.3703 0.0000
0.0000 0.0000 6.3703
Ce Sb
4 4
Cartesian
0.0000 0.0000 0.0000
0.0000 3.1851 3.1851
3.1851 0.0000 3.1851
3.1851 3.1851 0.0000
0.0000 0.0000 3.1851
0.0000 3.1851 0.0000
3.1851 0.0000 0.0000
3.1851 3.1851 3.1851
```

# Ce4Sb3
Simulated powder XRD pattern, λ = 1.5418 Å (Cu Kα). Input: DFT lattice parameters and positions (PBE).
Intensities are scaled so that the largest is 100.

Largest 10 diffraction maxima, sorted by position, 15° ≤ 2θ ≤ 90°:
| 2theta | d_spacing | intensity |
| --- | --- | --- |
| 29.9 | 2.986 | 100.0 |
| 35.6 | 2.523 | 67.8 |
| 42.8 | 2.111 | 11.2 |
| 47.2 | 1.927 | 17.1 |
| 49.2 | 1.852 | 21.8 |
| 60.4 | 1.532 | 25.7 |
| 62.2 | 1.493 | 11.9 |
| 63.9 | 1.457 | 14.5 |
| 73.7 | 1.285 | 15.1 |
| 89.2 | 1.098 | 10.5 |

Atomic structure:
```
Ce4Sb3
1.0
-4.7210 4.7210 4.7210
4.7210 -4.7210 4.7210
4.7210 4.7210 -4.7210
Ce Sb
8 6
Cartesian
4.0386 0.6823 -0.6823
6.3991 -1.6781 1.6781
0.6823 0.6823 0.6823
0.6823 -0.6823 4.0386
-0.6823 4.0386 0.6823
1.6781 6.3991 -1.6781
3.0428 3.0428 3.0428
-1.6781 1.6781 6.3991
7.0814 1.1802 0.0000
3.5407 0.0000 2.3605
2.3605 3.5407 0.0000
0.0000 2.3605 3.5407
1.1802 0.0000 7.0814
0.0000 7.0814 1.1802
```